Record 1
Computed powder XRD pattern of Bi2PdO4 for λ = 1.5418 Å (Cu Kα), from the PBE geometry in Alexandria.
Neutral-atom scattering factors, no anomalous dispersion.

Most intense lines, 10 to 90 degrees two-theta, by angle:
index, 2θ (°), Rel. int.
2 1 1, 27.30, 100
3 1 0, 32.89, 29
2 0 2, 35.82, 25
4 1 1, 45.88, 40
2 1 3, 50.31, 24
3 3 2, 54.10, 21

Crystal structure
```
28
Lattice="8.611 0.000 0.000 0.000 8.611 0.000 0.000 0.000 6.167" Properties=species:S:1:pos:R:3 pbc="T T T"
Bi 0.659 4.964 1.542
Bi 0.659 7.952 4.625
Bi 3.646 4.964 4.625
Bi 3.646 7.952 1.542
Bi 4.964 0.659 4.625
Bi 4.964 3.646 1.542
Bi 7.952 0.659 1.542
Bi 7.952 3.646 4.625
Pd 2.153 2.153 0.496
Pd 2.153 2.153 3.580
Pd 6.458 6.458 2.587
Pd 6.458 6.458 5.671
O 0.296 1.280 3.625
O 0.296 3.025 0.541
O 1.280 0.296 0.541
O 1.280 4.009 3.625
O 3.025 0.296 3.625
O 3.025 4.009 0.541
O 4.009 1.280 0.541
O 4.009 3.025 3.625
O 4.601 5.585 2.543
O 4.601 7.331 5.626
O 5.585 4.601 5.626
O 5.585 8.314 2.543
O 7.331 4.601 2.543
O 7.331 8.314 5.626
O 8.314 5.585 5.626
O 8.314 7.331 2.543
```



Record 2
Computed powder XRD pattern of ZnBr2O5 for λ = 1.5418 Å (Cu Kα), from the PBE geometry in Alexandria.
Neutral-atom scattering factors, no anomalous dispersion.

Most intense lines, 10 to 90 degrees two-theta, by angle:
index, 2θ (°), Rel. int.
1 1 1, 20.06, 37
1 2 1, 25.66, 100
2 1 1, 27.15, 30
1 0 2, 30.96, 35
3 1 0, 33.02, 44
2 0 2, 36.10, 25

Crystal structure
```
32
Lattice="8.485 0.000 0.000 0.000 9.691 0.000 0.000 0.000 6.143" Properties=species:S:1:pos:R:3 pbc="T T T"
Zn 0.000 0.695 1.536
Zn 0.000 8.996 4.608
Zn 4.243 4.150 4.608
Zn 4.243 5.540 1.536
Br 1.527 3.595 0.394
Br 1.527 6.096 3.466
Br 2.716 1.250 3.466
Br 2.716 8.440 0.394
Br 5.770 1.250 5.749
Br 5.770 8.440 2.678
Br 6.958 3.595 2.678
Br 6.958 6.096 5.749
O 0.000 4.135 1.536
O 0.000 5.556 4.608
O 0.971 0.797 3.392
O 0.971 8.894 0.320
O 1.628 1.934 0.804
O 1.628 7.757 3.876
O 2.615 2.912 3.876
O 2.615 6.779 0.804
O 3.272 4.048 0.320
O 3.272 5.643 3.392
O 4.243 0.711 4.608
O 4.243 8.980 1.536
O 5.213 4.048 2.752
O 5.213 5.643 5.824
O 5.870 2.912 5.339
O 5.870 6.779 2.268
O 6.858 1.934 2.268
O 6.858 7.757 5.339
O 7.515 0.797 5.824
O 7.515 8.894 2.752
```



Number 2 is which compound? ZnBr2O5



Which formula does entry 2 have? ZnBr2O5



Which formula does entry 1 have? Bi2PdO4



What did the first record say?
Computed powder XRD pattern of Bi2PdO4 for λ = 1.5418 Å (Cu Kα), from the PBE geometry in Alexandria.
Neutral-atom scattering factors, no anomalous dispersion.

Most intense lines, 10 to 90 degrees two-theta, by angle:
index, 2θ (°), Rel. int.
2 1 1, 27.30, 100
3 1 0, 32.89, 29
2 0 2, 35.82, 25
4 1 1, 45.88, 40
2 1 3, 50.31, 24
3 3 2, 54.10, 21

Crystal structure
```
28
Lattice="8.611 0.000 0.000 0.000 8.611 0.000 0.000 0.000 6.167" Properties=species:S:1:pos:R:3 pbc="T T T"
Bi 0.659 4.964 1.542
Bi 0.659 7.952 4.625
Bi 3.646 4.964 4.625
Bi 3.646 7.952 1.542
Bi 4.964 0.659 4.625
Bi 4.964 3.646 1.542
Bi 7.952 0.659 1.542
Bi 7.952 3.646 4.625
Pd 2.153 2.153 0.496
Pd 2.153 2.153 3.580
Pd 6.458 6.458 2.587
Pd 6.458 6.458 5.671
O 0.296 1.280 3.625
O 0.296 3.025 0.541
O 1.280 0.296 0.541
O 1.280 4.009 3.625
O 3.025 0.296 3.625
O 3.025 4.009 0.541
O 4.009 1.280 0.541
O 4.009 3.025 3.625
O 4.601 5.585 2.543
O 4.601 7.331 5.626
O 5.585 4.601 5.626
O 5.585 8.314 2.543
O 7.331 4.601 2.543
O 7.331 8.314 5.626
O 8.314 5.585 5.626
O 8.314 7.331 2.543
```